Entry 1:
Starting from DFT lattice parameters and positions (PBE), the powder diffraction line list of Mg3Cd7In was calculated for Cu Kα X-rays.
Peak positions follow from Bragg's law for the DFT cell and can differ from measured ones.

Main lines, by angle (10° ≤ 2θ ≤ 90°):
two_theta, I_rel
22.70, 21
26.60, 26
30.07, 35
31.56, 42
34.32, 100
35.98, 71
37.97, 32
38.29, 34
38.80, 75
40.62, 33
55.43, 30
65.25, 23

Crystal structure
Lattice parameters (Å, degrees): 11.869 11.869 12.948 90.00 90.00 163.95
Fractional positions:
Mg 0.080 0.920 0.527
Mg 0.080 0.920 0.973
Mg 0.225 0.775 0.250
Mg 0.775 0.225 0.750
Mg 0.920 0.080 0.027
Mg 0.920 0.080 0.473
Cd 0.192 0.808 0.630
Cd 0.192 0.808 0.870
Cd 0.319 0.681 0.568
Cd 0.319 0.681 0.932
Cd 0.402 0.598 0.250
Cd 0.489 0.511 0.628
Cd 0.489 0.511 0.872
Cd 0.511 0.489 0.128
Cd 0.511 0.489 0.372
Cd 0.598 0.402 0.750
Cd 0.681 0.319 0.068
Cd 0.681 0.319 0.432
Cd 0.808 0.192 0.130
Cd 0.808 0.192 0.370
In 0.101 0.899 0.250
In 0.899 0.101 0.750

---

Entry 2:
Starting from DFT lattice parameters and positions (PBE), the powder diffraction line list of Mg4CdIn was calculated for Cu Kα X-rays.
Peak positions follow from Bragg's law for the DFT cell and can differ from measured ones.

Main lines, by angle (10° ≤ 2θ ≤ 90°):
two_theta, I_rel
19.08, 61
21.91, 44
22.60, 40
28.76, 45
33.94, 100
34.66, 47
36.03, 42
38.78, 30
39.64, 19
39.93, 63
40.81, 30
57.49, 21

Crystal structure
Lattice parameters (Å, degrees): 10.148 3.293 8.851 90.00 113.55 90.00
Fractional positions:
Mg 0.165 0.000 0.328
Mg 0.166 0.000 0.838
Mg 0.334 0.500 0.162
Mg 0.335 0.500 0.672
Mg 0.665 0.500 0.328
Mg 0.666 0.500 0.838
Mg 0.834 0.000 0.162
Mg 0.835 0.000 0.672
Cd 0.000 0.500 0.000
Cd 0.500 0.000 0.000
In 0.000 0.500 0.500
In 0.500 0.000 0.500